# 1
GdNi2: theoretical XRD peak list (Cu Kα, 1.54184 Å), based on a structure optimized by DFT (GGA-PBE).
No peak broadening, texture or thermal motion is included.

a b c (Å): 5.091 5.091 5.091
angles (deg): 60.00 60.00 60.00
Positions (direct):
Gd  0.125  0.125  0.125
Gd  0.875  0.875  0.875
Ni  0.000  0.500  0.500
Ni  0.500  0.000  0.500
Ni  0.500  0.500  0.000
Ni  0.500  0.500  0.500

Top 8 peaks for 2θ = 10–80°, in order of falling intensity:
2θ = 41.6°, I 100; 2θ = 35.3°, I 62; 2θ = 67.6°, I 30; 2θ = 63.3°, I 23; 2θ = 74.6°, I 22; 2θ = 43.5°, I 16; 2θ = 21.4°, I 11; 2θ = 55.6°, I 3

=====

# 2
GdNi2P2: theoretical XRD peak list (Cu Kα, 1.54184 Å), based on a structure optimized by DFT (GGA-PBE).
No peak broadening, texture or thermal motion is included.

a b c (Å): 5.453 5.453 5.453
angles (deg): 138.14 138.14 60.68
Positions (direct):
Gd  0.000  0.000  0.000
Ni  0.250  0.750  0.500
Ni  0.750  0.250  0.500
P  0.376  0.376  0.000
P  0.624  0.624  0.000

Top 8 peaks for 2θ = 10–80°, in order of falling intensity:
2θ = 37.8°, I 100; 2θ = 36.8°, I 51; 2θ = 24.7°, I 44; 2θ = 46.6°, I 40; 2θ = 60.8°, I 23; 2θ = 54.1°, I 17; 2θ = 68.9°, I 16; 2θ = 38.2°, I 15

=====

# 3
GdNiPb: theoretical XRD peak list (Cu Kα, 1.54184 Å), based on a structure optimized by DFT (GGA-PBE).
No peak broadening, texture or thermal motion is included.

a b c (Å): 7.373 4.540 8.039
angles (deg): 90.00 90.00 90.00
Positions (direct):
Gd  0.013  0.250  0.195
Gd  0.487  0.750  0.695
Gd  0.513  0.250  0.305
Gd  0.987  0.750  0.805
Ni  0.228  0.750  0.397
Ni  0.272  0.250  0.897
Ni  0.728  0.750  0.103
Ni  0.772  0.250  0.603
Pb  0.174  0.250  0.574
Pb  0.326  0.750  0.074
Pb  0.674  0.250  0.926
Pb  0.826  0.750  0.426

Top 8 peaks for 2θ = 10–80°, in order of falling intensity:
2θ = 33.2°, I 100; 2θ = 39.0°, I 69; 2θ = 32.1°, I 66; 2θ = 39.7°, I 51; 2θ = 38.3°, I 40; 2θ = 33.0°, I 39; 2θ = 25.6°, I 39; 2θ = 63.2°, I 37

=====

# 4
GdNiSb: theoretical XRD peak list (Cu Kα, 1.54184 Å), based on a structure optimized by DFT (GGA-PBE).
No peak broadening, texture or thermal motion is included.

a b c (Å): 4.523 4.523 4.523
angles (deg): 60.00 60.00 60.00
Positions (direct):
Gd  0.000  0.000  0.000
Ni  0.250  0.250  0.250
Sb  0.500  0.500  0.500

Top 8 peaks for 2θ = 10–80°, in order of falling intensity:
2θ = 39.9°, I 100; 2θ = 27.9°, I 49; 2θ = 72.4°, I 33; 2θ = 65.2°, I 18; 2θ = 57.6°, I 17; 2θ = 49.3°, I 14; 2θ = 24.1°, I 12; 2θ = 47.1°, I 6

=====

# 5
GdSi2Ni2: theoretical XRD peak list (Cu Kα, 1.54184 Å), based on a structure optimized by DFT (GGA-PBE).
No peak broadening, texture or thermal motion is included.

a b c (Å): 5.536 5.536 5.536
angles (deg): 137.93 137.93 61.01
Positions (direct):
Gd  0.000  0.000  0.000
Si  0.373  0.373  0.000
Si  0.627  0.627  0.000
Ni  0.250  0.750  0.500
Ni  0.750  0.250  0.500

Top 8 peaks for 2θ = 10–80°, in order of falling intensity:
2θ = 37.1°, I 100; 2θ = 36.2°, I 52; 2θ = 24.3°, I 48; 2θ = 45.6°, I 40; 2θ = 59.6°, I 24; 2θ = 78.7°, I 21; 2θ = 67.7°, I 17; 2θ = 53.3°, I 16

=====

# 6
Gd3Si2Ni6: theoretical XRD peak list (Cu Kα, 1.54184 Å), based on a structure optimized by DFT (GGA-PBE).
No peak broadening, texture or thermal motion is included.

a b c (Å): 7.646 7.646 7.646
angles (deg): 109.47 109.47 109.47
Positions (direct):
Gd  0.000  0.284  0.284
Gd  0.000  0.716  0.716
Gd  0.284  0.000  0.284
Gd  0.284  0.284  0.000
Gd  0.716  0.000  0.716
Gd  0.716  0.716  0.000
Si  0.000  0.000  0.500
Si  0.000  0.500  0.000
Si  0.500  0.000  0.000
Si  0.500  0.500  0.500
Ni  0.000  0.331  0.669
Ni  0.000  0.669  0.331
Ni  0.331  0.000  0.669
Ni  0.331  0.331  0.662
Ni  0.331  0.662  0.331
Ni  0.331  0.669  0.000
Ni  0.338  0.669  0.669
Ni  0.662  0.331  0.331
Ni  0.669  0.000  0.331
Ni  0.669  0.331  0.000
Ni  0.669  0.338  0.669
Ni  0.669  0.669  0.338

Top 8 peaks for 2θ = 10–80°, in order of falling intensity:
2θ = 43.5°, I 100; 2θ = 32.1°, I 39; 2θ = 38.1°, I 33; 2θ = 35.2°, I 29; 2θ = 40.9°, I 25; 2θ = 79.8°, I 21; 2θ = 65.1°, I 21; 2θ = 70.8°, I 19